1.
Calculated powder diffractogram of Li6Fe7O15 for Cu Kα (weighted mean of Kα1 and Kα2), from a structure optimized by DFT (PBE+U).
Kinematic intensities with the Lorentz-polarization factor, no thermal factor.

Crystal structure
```
Li6Fe7O15
1.0
7.720 -1.981 0.000
7.720 1.981 0.000
-1.862 0.000 8.805
Li Fe O
6 7 15
Direct
0.096 0.096 0.023
0.096 0.096 0.369
0.295 0.295 0.766
0.705 0.705 0.234
0.904 0.904 0.631
0.904 0.904 0.977
0.306 0.306 0.433
0.307 0.307 0.106
0.494 0.494 0.828
0.500 0.500 0.500
0.506 0.506 0.172
0.693 0.693 0.894
0.694 0.694 0.567
0.000 0.000 0.500
0.013 0.013 0.167
0.207 0.207 0.550
0.207 0.207 0.920
0.223 0.223 0.239
0.403 0.403 0.626
0.406 0.406 0.304
0.406 0.406 0.986
0.594 0.594 0.014
0.594 0.594 0.696
0.597 0.597 0.374
0.777 0.777 0.761
0.793 0.793 0.080
0.793 0.793 0.450
0.987 0.987 0.833
```

The 12 most intense peaks (15° ≤ 2θ ≤ 90°), by angle:
- 2θ 23.21, I 100
- 2θ 23.58, I 53
- 2θ 24.85, I 22
- 2θ 30.30, I 21
- 2θ 30.46, I 21
- 2θ 37.44, I 21
- 2θ 37.61, I 17
- 2θ 42.18, I 64
- 2θ 42.75, I 61
- 2θ 45.81, I 53
- 2θ 64.01, I 30
- 2θ 64.45, I 30



2.
Calculated powder diffractogram of LiFe5O6 for Cu Kα (weighted mean of Kα1 and Kα2), from a structure optimized by DFT (PBE+U).
Kinematic intensities with the Lorentz-polarization factor, no thermal factor.

Crystal structure
```
LiFe5O6
1.0
2.630 -4.641 0.000
2.630 4.641 0.000
-1.655 0.000 5.007
Li Fe O
1 5 6
Direct
0.000 0.000 0.000
0.162 0.838 0.500
0.336 0.664 0.000
0.500 0.500 0.500
0.664 0.336 0.000
0.838 0.162 0.500
0.097 0.440 0.260
0.226 0.226 0.740
0.440 0.097 0.260
0.560 0.903 0.740
0.774 0.774 0.260
0.903 0.560 0.740
```

The 12 most intense peaks (15° ≤ 2θ ≤ 90°), by angle:
- 2θ 17.71, I 11
- 2θ 20.19, I 12
- 2θ 22.93, I 12
- 2θ 35.86, I 60
- 2θ 35.98, I 23
- 2θ 41.33, I 100
- 2θ 42.35, I 47
- 2θ 59.78, I 14
- 2θ 59.98, I 14
- 2θ 60.60, I 28
- 2θ 60.73, I 27
- 2θ 76.00, I 19



3.
Calculated powder diffractogram of Li2FeP2O7 for Cu Kα (weighted mean of Kα1 and Kα2), from a structure optimized by DFT (PBE+U).
Kinematic intensities with the Lorentz-polarization factor, no thermal factor.

Crystal structure
```
Li2FeP2O7
1.0
5.471 -5.575 0.000
5.471 5.575 0.000
0.000 0.000 5.068
Li Fe P O
4 2 4 14
Direct
0.226 0.774 0.000
0.276 0.276 0.070
0.724 0.724 0.070
0.774 0.226 0.000
0.000 0.500 0.537
0.500 0.000 0.537
0.141 0.141 0.633
0.360 0.640 0.433
0.640 0.360 0.433
0.859 0.859 0.633
0.000 0.000 0.728
0.084 0.307 0.772
0.152 0.152 0.337
0.196 0.575 0.291
0.307 0.084 0.772
0.345 0.655 0.728
0.425 0.804 0.291
0.500 0.500 0.348
0.575 0.196 0.291
0.655 0.345 0.728
0.693 0.916 0.772
0.804 0.425 0.291
0.848 0.848 0.337
0.916 0.693 0.772
```

The 12 most intense peaks (15° ≤ 2θ ≤ 90°), by angle:
- 2θ 17.50, I 100
- 2θ 20.89, I 28
- 2θ 23.93, I 11
- 2θ 25.31, I 42
- 2θ 25.70, I 39
- 2θ 28.86, I 27
- 2θ 30.94, I 16
- 2θ 31.26, I 17
- 2θ 37.34, I 13
- 2θ 40.45, I 23
- 2θ 40.83, I 22
- 2θ 51.52, I 11



4.
Calculated powder diffractogram of LiFe2P5O16 for Cu Kα (weighted mean of Kα1 and Kα2), from a structure optimized by DFT (PBE+U).
Kinematic intensities with the Lorentz-polarization factor, no thermal factor.

Crystal structure
```
LiFe2P5O16
1.0
7.627 0.000 0.000
0.000 9.578 0.000
-3.794 0.000 9.651
Li Fe P O
2 4 10 32
Direct
0.000 0.117 0.000
0.000 0.883 0.500
0.481 0.361 0.237
0.481 0.639 0.737
0.917 0.140 0.630
0.917 0.860 0.130
0.241 0.363 0.645
0.241 0.637 0.145
0.287 0.203 0.899
0.287 0.797 0.399
0.345 0.045 0.262
0.345 0.955 0.762
0.572 0.377 0.570
0.572 0.623 0.070
0.735 0.086 0.290
0.735 0.914 0.790
0.049 0.297 0.581
0.049 0.703 0.081
0.072 0.189 0.843
0.072 0.811 0.343
0.172 0.009 0.645
0.172 0.991 0.145
0.246 0.482 0.167
0.246 0.518 0.667
0.346 0.197 0.297
0.346 0.803 0.797
0.353 0.289 0.794
0.353 0.711 0.294
0.364 0.316 0.558
0.364 0.684 0.058
0.372 0.260 0.042
0.372 0.740 0.542
0.373 0.049 0.899
0.373 0.951 0.399
0.530 0.006 0.231
0.530 0.994 0.731
0.550 0.431 0.428
0.550 0.569 0.928
0.620 0.492 0.680
0.620 0.508 0.180
0.701 0.250 0.617
0.701 0.750 0.117
0.704 0.242 0.277
0.704 0.758 0.777
0.830 0.040 0.443
0.830 0.960 0.943
0.838 0.030 0.200
0.838 0.970 0.700
```

The 12 most intense peaks (15° ≤ 2θ ≤ 90°), by angle:
- 2θ 15.55, I 100
- 2θ 18.39, I 26
- 2θ 20.64, I 12
- 2θ 22.40, I 11
- 2θ 25.97, I 10
- 2θ 26.79, I 14
- 2θ 27.51, I 10
- 2θ 29.29, I 23
- 2θ 29.95, I 20
- 2θ 30.71, I 9
- 2θ 33.47, I 9
- 2θ 35.39, I 11



5.
Calculated powder diffractogram of Li2FeP2O7 for Cu Kα (weighted mean of Kα1 and Kα2), from a structure optimized by DFT (PBE+U).
Kinematic intensities with the Lorentz-polarization factor, no thermal factor.

Crystal structure
```
Li2FeP2O7
1.0
5.160 0.000 0.000
-2.295 6.208 0.000
-0.416 -3.164 8.249
Li Fe P O
4 2 4 14
Direct
0.060 0.307 0.030
0.329 0.662 0.758
0.671 0.338 0.242
0.940 0.693 0.970
0.122 0.100 0.347
0.878 0.900 0.653
0.257 0.660 0.396
0.490 0.826 0.129
0.510 0.174 0.871
0.743 0.340 0.604
0.073 0.806 0.429
0.084 0.404 0.293
0.192 0.093 0.869
0.302 0.616 0.983
0.378 0.018 0.160
0.445 0.695 0.547
0.477 0.750 0.287
0.523 0.250 0.713
0.555 0.305 0.453
0.622 0.982 0.840
0.698 0.384 0.017
0.808 0.907 0.131
0.916 0.596 0.707
0.927 0.194 0.571
```

The 12 most intense peaks (15° ≤ 2θ ≤ 90°), by angle:
- 2θ 15.28, I 53
- 2θ 21.51, I 43
- 2θ 22.99, I 30
- 2θ 23.16, I 100
- 2θ 25.95, I 56
- 2θ 29.32, I 87
- 2θ 30.70, I 65
- 2θ 33.56, I 45
- 2θ 34.65, I 33
- 2θ 34.83, I 26
- 2θ 37.88, I 24
- 2θ 40.23, I 30



6.
Calculated powder diffractogram of LiFePO4 for Cu Kα (weighted mean of Kα1 and Kα2), from a structure optimized by DFT (PBE+U).
Kinematic intensities with the Lorentz-polarization factor, no thermal factor.

Crystal structure
```
LiFePO4
1.0
5.109 0.000 0.000
0.000 10.233 0.000
-5.068 0.000 6.898
Li Fe P O
4 4 4 16
Direct
0.210 0.155 0.003
0.210 0.345 0.503
0.790 0.655 0.497
0.790 0.845 0.997
0.289 0.653 0.997
0.289 0.847 0.497
0.711 0.153 0.503
0.711 0.347 0.003
0.047 0.596 0.250
0.047 0.904 0.750
0.953 0.096 0.250
0.953 0.404 0.750
0.002 0.553 0.745
0.002 0.947 0.245
0.101 0.661 0.431
0.101 0.839 0.931
0.256 0.156 0.440
0.256 0.344 0.940
0.349 0.625 0.252
0.349 0.875 0.752
0.651 0.125 0.248
0.651 0.375 0.748
0.744 0.656 0.060
0.744 0.844 0.560
0.899 0.161 0.069
0.899 0.339 0.569
0.998 0.053 0.755
0.998 0.447 0.255
```

The 12 most intense peaks (15° ≤ 2θ ≤ 90°), by angle:
- 2θ 15.49, I 62
- 2θ 21.62, I 95
- 2θ 21.71, I 62
- 2θ 23.29, I 69
- 2θ 23.40, I 24
- 2θ 29.21, I 38
- 2θ 31.28, I 36
- 2θ 35.11, I 100
- 2θ 35.91, I 18
- 2θ 44.19, I 21
- 2θ 47.66, I 18
- 2θ 60.56, I 18



7.
Calculated powder diffractogram of Li9Fe4P4O20 for Cu Kα (weighted mean of Kα1 and Kα2), from a structure optimized by DFT (PBE+U).
Kinematic intensities with the Lorentz-polarization factor, no thermal factor.

Crystal structure
```
Li9Fe4P4O20
1.0
4.919 0.000 0.000
0.030 5.649 0.000
0.007 0.188 15.915
Li Fe P O
9 4 4 20
Direct
0.000 0.000 0.000
0.005 0.514 0.686
0.011 0.958 0.389
0.016 0.999 0.577
0.493 0.291 0.186
0.498 0.826 0.089
0.507 0.367 0.787
0.517 0.792 0.491
0.993 0.491 0.101
0.005 0.517 0.891
0.016 0.020 0.789
0.515 0.299 0.389
0.523 0.791 0.291
0.005 0.979 0.183
0.007 0.470 0.497
0.508 0.329 0.995
0.534 0.860 0.689
0.051 0.355 0.584
0.051 0.844 0.888
0.098 0.819 0.108
0.105 0.231 0.165
0.113 0.344 0.795
0.114 0.884 0.269
0.119 0.727 0.490
0.136 0.302 0.429
0.186 0.352 0.984
0.210 0.868 0.696
0.547 0.449 0.287
0.591 0.071 0.005
0.598 0.485 0.068
0.612 0.980 0.392
0.623 0.917 0.600
0.628 0.431 0.909
0.641 0.057 0.751
0.643 0.623 0.723
0.685 0.971 0.187
0.695 0.482 0.476
```

The 12 most intense peaks (15° ≤ 2θ ≤ 90°), by angle:
- 2θ 18.88, I 40
- 2θ 19.16, I 54
- 2θ 19.38, I 59
- 2θ 24.68, I 100
- 2θ 26.37, I 12
- 2θ 26.50, I 20
- 2θ 31.68, I 19
- 2θ 32.11, I 34
- 2θ 32.45, I 30
- 2θ 36.55, I 56
- 2θ 56.47, I 14
- 2θ 57.94, I 11



8.
Calculated powder diffractogram of LiFePO4 for Cu Kα (weighted mean of Kα1 and Kα2), from a structure optimized by DFT (PBE+U).
Kinematic intensities with the Lorentz-polarization factor, no thermal factor.

Crystal structure
```
LiFePO4
1.0
11.433 0.000 0.000
0.000 6.033 0.000
0.000 0.000 5.068
Li Fe P O
4 4 4 16
Direct
0.063 0.213 0.000
0.437 0.713 0.500
0.563 0.287 0.000
0.937 0.787 0.500
0.166 0.460 0.497
0.334 0.960 0.997
0.666 0.040 0.497
0.834 0.540 0.997
0.089 0.729 0.006
0.411 0.229 0.506
0.589 0.771 0.006
0.911 0.271 0.506
0.037 0.242 0.391
0.083 0.713 0.311
0.147 0.513 0.899
0.161 0.940 0.930
0.339 0.440 0.430
0.353 0.013 0.399
0.417 0.213 0.811
0.463 0.742 0.891
0.537 0.258 0.391
0.583 0.787 0.311
0.647 0.987 0.899
0.661 0.560 0.930
0.839 0.060 0.430
0.853 0.487 0.399
0.917 0.287 0.811
0.963 0.758 0.891
```

The 12 most intense peaks (15° ≤ 2θ ≤ 90°), by angle:
- 2θ 16.61, I 65
- 2θ 21.41, I 20
- 2θ 22.92, I 72
- 2θ 24.22, I 100
- 2θ 27.69, I 52
- 2θ 31.30, I 27
- 2θ 33.59, I 47
- 2θ 35.43, I 54
- 2θ 36.08, I 22
- 2θ 38.12, I 34
- 2θ 45.54, I 20
- 2θ 57.19, I 31